Computed PXRD pattern
Compound: CaLu2O4
Radiation: Cu Ka
Structure: a PBE-relaxed structure

Crystal structure
```
data_CaLu2O4
_space_group_name_H-M_alt 'P n m a'
_space_group_IT_number 62
_space_group_name_Hall '-P 2ac 2n'
_cell_length_a 9.7823
_cell_length_b 3.2941
_cell_length_c 11.5772
_cell_angle_alpha 90.00
_cell_angle_beta 90.00
_cell_angle_gamma 90.00
loop_
_atom_site_label
_atom_site_fract_x
_atom_site_fract_y
_atom_site_fract_z
_atom_site_occupancy
Ca1 0.2459 0.2500 0.1487 1
Lu1 0.0747 0.2500 0.3861 1
Lu2 0.0792 0.2500 0.8901 1
O1 0.0174 0.7500 0.7842 1
O2 0.0788 0.2500 0.5779 1
O3 0.1281 0.7500 0.0229 1
O4 0.2103 0.7500 0.3205 1
```

Largest 10 diffraction maxima, sorted by position, 10 to 90 degrees two-theta:
2theta, Rel. int.
17.80, 39
18.14, 35
30.90, 44
31.49, 87
32.59, 100
32.78, 46
45.66, 43
46.23, 28
56.65, 26
65.51, 22